Record 1
Ho9Er4Hg11: theoretical PXRD pattern (a wavelength of 1.5418 Å), based on a GGA-PBE-relaxed structure.
Lines closer than 0.1° are merged.

Peak list (8 most intense, 2θ from 10° to 90°, low angle first)
| 2theta | intensity |
| --- | --- |
| 32.8 | 36 |
| 33.2 | 77 |
| 34.1 | 86 |
| 35.0 | 100 |
| 51.7 | 19 |
| 60.3 | 23 |
| 62.8 | 25 |
| 62.9 | 23 |

Structural model:
```
24
Lattice="7.8542 -11.1469 0.0000 7.8542 11.1469 0.0000 0.0000 0.0000 3.5372" Properties=species:S:1:pos:R:3 pbc="T T T"
Ho 0.0000 0.0000 0.0000
Ho 6.0490 5.8727 0.0000
Ho 6.0591 1.9985 0.0000
Ho 9.6594 5.8727 0.0000
Ho 6.0591 -1.9985 0.0000
Ho 9.6494 1.9985 0.0000
Ho 6.0490 -5.8727 0.0000
Ho 9.6494 -1.9985 0.0000
Ho 9.6594 -5.8727 0.0000
Er 2.5449 1.9161 0.0000
Er 2.5449 -1.9161 0.0000
Er 13.1636 1.9161 0.0000
Er 13.1636 -1.9161 0.0000
Hg 4.1744 3.9717 1.7686
Hg 7.8542 8.2720 1.7686
Hg 4.3112 0.0000 1.7686
Hg 7.8542 3.9467 1.7686
Hg 4.1744 -3.9717 1.7686
Hg 7.8542 0.0000 1.7686
Hg 11.5340 3.9717 1.7686
Hg 7.8542 -3.9467 1.7686
Hg 11.3973 0.0000 1.7686
Hg 7.8542 -8.2720 1.7686
Hg 11.5340 -3.9717 1.7686
```

---

Record 2
HoEr4Hg7: theoretical PXRD pattern (a wavelength of 1.5418 Å), based on a GGA-PBE-relaxed structure.
Lines closer than 0.1° are merged.

Peak list (8 most intense, 2θ from 10° to 90°, low angle first)
| 2theta | intensity |
| --- | --- |
| 30.5 | 69 |
| 32.7 | 89 |
| 33.1 | 25 |
| 35.5 | 100 |
| 38.9 | 54 |
| 39.9 | 28 |
| 45.3 | 42 |
| 71.2 | 28 |

Structural model:
```
12
Lattice="6.3165 -2.7387 0.0000 6.3165 2.7387 0.0000 -5.8021 0.0000 9.2240" Properties=species:S:1:pos:R:3 pbc="T T T"
Ho 0.0000 0.0000 0.0000
Er -0.5764 0.0000 6.2565
Er 3.9915 0.0000 2.0616
Er 2.8394 0.0000 7.1624
Er 7.4074 0.0000 2.9675
Hg -1.0550 0.0000 3.1222
Hg -2.7135 0.0000 8.4369
Hg 1.8674 0.0000 4.2487
Hg 6.3165 0.0000 0.0000
Hg 4.9636 0.0000 4.9752
Hg 9.5444 0.0000 0.7871
Hg 7.8859 0.0000 6.1017
```

---

Record 3
Er2InHg3: theoretical PXRD pattern (a wavelength of 1.5418 Å), based on a GGA-PBE-relaxed structure.
Lines closer than 0.1° are merged.

Peak list (8 most intense, 2θ from 10° to 90°, low angle first)
| 2theta | intensity |
| --- | --- |
| 25.2 | 22 |
| 30.8 | 100 |
| 35.7 | 95 |
| 36.3 | 94 |
| 41.4 | 21 |
| 43.8 | 24 |
| 63.9 | 19 |
| 64.2 | 30 |

Structural model:
```
6
Lattice="-1.7845 1.7913 12.3936 1.7845 -1.7913 12.3936 1.7845 1.7913 -12.3936" Properties=species:S:1:pos:R:3 pbc="T T T"
Er 0.0000 0.0000 0.0000
Er 0.0000 1.7913 6.1433
In 0.0000 0.0000 10.3720
Hg 1.7845 0.0000 4.2459
Hg 1.7845 0.0000 8.0159
Hg 0.0000 0.0000 14.2731
```

---

Record 4
ErIn5Hg8: theoretical PXRD pattern (a wavelength of 1.5418 Å), based on a GGA-PBE-relaxed structure.
Lines closer than 0.1° are merged.

Peak list (8 most intense, 2θ from 10° to 90°, low angle first)
| 2theta | intensity |
| --- | --- |
| 29.0 | 36 |
| 32.5 | 100 |
| 33.1 | 48 |
| 33.7 | 27 |
| 35.8 | 51 |
| 37.1 | 41 |
| 37.5 | 26 |
| 56.6 | 21 |

Structural model:
```
14
Lattice="6.2210 -4.3004 0.0000 6.2210 4.3004 0.0000 -5.3448 0.0000 6.9738" Properties=species:S:1:pos:R:3 pbc="T T T"
Er 0.0000 0.0000 0.0000
In -0.8594 0.0289 3.2173
In 3.5487 0.6010 3.4869
In 4.7835 -1.4623 1.2244
In 2.3138 -1.4623 5.7494
In 7.9567 0.0289 3.7564
Hg 1.4370 1.9911 1.8946
Hg -2.3485 0.0526 6.1311
Hg 5.1427 1.5655 1.0896
Hg 1.9547 1.5655 5.8842
Hg 1.7491 -1.6013 2.2422
Hg 5.6603 1.9911 5.0792
Hg 9.4458 0.0526 0.8427
Hg 5.3482 -1.6013 4.7315
```

---

Record 5
Er2InHg5: theoretical PXRD pattern (a wavelength of 1.5418 Å), based on a GGA-PBE-relaxed structure.
Lines closer than 0.1° are merged.

Peak list (8 most intense, 2θ from 10° to 90°, low angle first)
| 2theta | intensity |
| --- | --- |
| 33.4 | 58 |
| 35.2 | 100 |
| 47.9 | 21 |
| 60.9 | 42 |
| 64.4 | 18 |
| 74.5 | 12 |
| 79.9 | 10 |
| 81.0 | 10 |

Structural model:
```
8
Lattice="-2.6837 2.6837 6.8712 2.6837 -2.6837 6.8712 2.6837 2.6837 -6.8712" Properties=species:S:1:pos:R:3 pbc="T T T"
Er 0.0000 0.0000 3.4226
Er 0.0000 0.0000 10.3198
In 0.0000 0.0000 0.0000
Hg 2.6837 0.0000 1.7432
Hg 2.6837 0.0000 5.1280
Hg 0.0000 0.0000 6.8712
Hg 0.0000 2.6837 1.7432
Hg 0.0000 2.6837 5.1280
```

---

Record 6
Er5InHg6: theoretical PXRD pattern (a wavelength of 1.5418 Å), based on a GGA-PBE-relaxed structure.
Lines closer than 0.1° are merged.

Peak list (8 most intense, 2θ from 10° to 90°, low angle first)
| 2theta | intensity |
| --- | --- |
| 34.4 | 100 |
| 35.0 | 20 |
| 49.0 | 8 |
| 49.9 | 14 |
| 61.3 | 7 |
| 61.6 | 21 |
| 62.4 | 15 |
| 72.5 | 11 |

Structural model:
```
12
Lattice="8.2241 -3.7165 0.0000 8.2241 3.7165 0.0000 -1.5901 0.0000 4.8747" Properties=species:S:1:pos:R:3 pbc="T T T"
Er 0.0000 0.0000 0.0000
Er 1.7633 0.0000 3.2770
Er 5.1480 0.0000 1.6880
Er 9.7100 0.0000 3.1867
Er 13.0947 0.0000 1.5977
In 8.2241 0.0000 0.0000
Hg 4.0961 1.9007 4.0399
Hg 7.4290 1.9637 2.4374
Hg 10.7619 1.9007 0.8349
Hg 4.0961 -1.9007 4.0399
Hg 7.4290 -1.9637 2.4374
Hg 10.7619 -1.9007 0.8349
```

---

Record 7
Pm2ErIn3Hg6: theoretical PXRD pattern (a wavelength of 1.5418 Å), based on a GGA-PBE-relaxed structure.
Lines closer than 0.1° are merged.

Peak list (8 most intense, 2θ from 10° to 90°, low angle first)
| 2theta | intensity |
| --- | --- |
| 21.2 | 56 |
| 29.9 | 88 |
| 32.5 | 67 |
| 34.6 | 90 |
| 37.1 | 59 |
| 37.5 | 97 |
| 42.3 | 100 |
| 72.4 | 58 |

Structural model:
```
12
Lattice="4.2742 0.0000 0.0000 0.0000 4.2742 0.0000 0.0000 0.0000 20.2572" Properties=species:S:1:pos:R:3 pbc="T T T"
Pm 0.0000 0.0000 4.4366
Pm 0.0000 0.0000 15.8206
Er 0.0000 0.0000 10.1286
In 2.1371 2.1371 0.0000
In 2.1371 2.1371 5.7027
In 2.1371 2.1371 14.5545
Hg 0.0000 2.1371 7.8897
Hg 0.0000 2.1371 12.3675
Hg 2.1371 0.0000 7.8897
Hg 2.1371 0.0000 12.3675
Hg 2.1371 2.1371 2.7897
Hg 2.1371 2.1371 17.4676
```

---

Record 8
SmEr2In2Hg2: theoretical PXRD pattern (a wavelength of 1.5418 Å), based on a GGA-PBE-relaxed structure.
Lines closer than 0.1° are merged.

Peak list (8 most intense, 2θ from 10° to 90°, low angle first)
| 2theta | intensity |
| --- | --- |
| 10.0 | 10 |
| 31.5 | 100 |
| 36.3 | 85 |
| 48.9 | 30 |
| 52.9 | 12 |
| 62.4 | 29 |
| 65.4 | 15 |
| 85.7 | 12 |

Structural model:
```
7
Lattice="2.4722 1.4273 8.8353 -2.4722 1.4273 8.8353 0.0000 -2.8546 8.8353" Properties=species:S:1:pos:R:3 pbc="T T T"
Sm 0.0000 0.0000 0.0000
Er 0.0000 0.0000 3.5077
Er 0.0000 0.0000 22.9983
In 0.0000 0.0000 7.0747
In 0.0000 0.0000 19.4313
Hg 0.0000 0.0000 11.4266
Hg 0.0000 0.0000 15.0794
```

---

Record 9
Sr2ErInHg6: theoretical PXRD pattern (a wavelength of 1.5418 Å), based on a GGA-PBE-relaxed structure.
Lines closer than 0.1° are merged.

Peak list (8 most intense, 2θ from 10° to 90°, low angle first)
| 2theta | intensity |
| --- | --- |
| 15.8 | 49 |
| 27.5 | 84 |
| 31.9 | 100 |
| 35.8 | 27 |
| 45.7 | 75 |
| 54.2 | 40 |
| 75.8 | 34 |
| 84.6 | 26 |

Structural model:
```
10
Lattice="0.0000 5.6143 5.6143 5.6143 0.0000 5.6143 5.6143 5.6143 0.0000" Properties=species:S:1:pos:R:3 pbc="T T T"
Sr 2.8071 2.8071 2.8071
Sr 8.4214 8.4214 8.4214
Er 0.0000 0.0000 0.0000
In 5.6143 5.6143 5.6143
Hg 5.6143 5.6143 2.8366
Hg 5.6143 2.8366 5.6143
Hg 8.3920 5.6143 5.6143
Hg 2.8366 5.6143 5.6143
Hg 5.6143 8.3920 5.6143
Hg 5.6143 5.6143 8.3920
```

---

Record 10
Er6HgIr5: theoretical PXRD pattern (a wavelength of 1.5418 Å), based on a GGA-PBE-relaxed structure.
Lines closer than 0.1° are merged.

Peak list (8 most intense, 2θ from 10° to 90°, low angle first)
| 2theta | intensity |
| --- | --- |
| 36.6 | 100 |
| 36.8 | 99 |
| 37.5 | 94 |
| 51.6 | 19 |
| 53.9 | 17 |
| 65.5 | 37 |
| 67.0 | 34 |
| 67.3 | 34 |

Structural model:
```
12
Lattice="4.7936 0.0000 0.0000 0.0000 7.0904 0.0000 -2.3398 0.0000 7.1912" Properties=species:S:1:pos:R:3 pbc="T T T"
Er 0.0000 1.6841 0.0000
Er 0.0000 5.4063 0.0000
Er 0.0367 1.7474 4.7237
Er 0.0367 5.3430 4.7237
Er 2.4171 1.7474 2.4674
Er 2.4171 5.3430 2.4674
Hg 2.3968 3.5452 0.0000
Ir 0.0132 3.5452 2.3706
Ir 0.0192 0.0000 2.4001
Ir 2.3968 0.0000 0.0000
Ir 2.4345 0.0000 4.7910
Ir 2.4406 3.5452 4.8206
```

---

Record 11
Er6Hg3Ir: theoretical PXRD pattern (a wavelength of 1.5418 Å), based on a GGA-PBE-relaxed structure.
Lines closer than 0.1° are merged.

Peak list (8 most intense, 2θ from 10° to 90°, low angle first)
| 2theta | intensity |
| --- | --- |
| 30.8 | 100 |
| 35.3 | 91 |
| 35.5 | 50 |
| 37.1 | 49 |
| 47.5 | 20 |
| 47.6 | 20 |
| 52.2 | 14 |
| 63.6 | 17 |

Structural model:
```
20
Lattice="8.8098 0.0000 0.0000 0.0000 11.6304 0.0000 0.0000 0.0000 5.0623" Properties=species:S:1:pos:R:3 pbc="T T T"
Er 0.1247 2.7977 0.0000
Er 1.3376 0.9715 2.5311
Er 1.7101 4.8277 2.5311
Er 2.6948 10.6429 0.0000
Er 3.0673 6.7867 0.0000
Er 4.2803 8.6129 2.5311
Er 4.5296 3.0175 2.5311
Er 5.7425 4.8437 0.0000
Er 6.1151 0.9875 0.0000
Er 7.0997 6.8027 2.5311
Er 7.4722 10.6588 2.5311
Er 8.6852 8.8326 0.0000
Hg 0.0000 5.8152 0.0000
Hg 1.3257 8.2700 2.5311
Hg 3.0792 2.4548 0.0000
Hg 4.4049 0.0000 2.5311
Hg 5.7306 9.1755 0.0000
Hg 7.4841 3.3604 2.5311
Ir 0.0000 0.0000 0.0000
Ir 4.4049 5.8152 2.5311
```

---

Record 12
Er8Hg2Ir3: theoretical PXRD pattern (a wavelength of 1.5418 Å), based on a GGA-PBE-relaxed structure.
Lines closer than 0.1° are merged.

Peak list (8 most intense, 2θ from 10° to 90°, low angle first)
| 2theta | intensity |
| --- | --- |
| 22.1 | 24 |
| 36.3 | 100 |
| 36.7 | 25 |
| 36.9 | 25 |
| 53.0 | 18 |
| 65.8 | 19 |
| 66.0 | 18 |
| 77.1 | 10 |

Structural model:
```
13
Lattice="8.6117 0.0000 0.0000 0.0000 4.8771 0.0000 -3.0493 0.0000 8.0631" Properties=species:S:1:pos:R:3 pbc="T T T"
Er -0.1975 0.0000 3.1120
Er -1.4583 2.4386 7.0042
Er 1.2205 2.4386 5.1473
Er 2.9565 0.0000 0.9365
Er 2.6059 0.0000 7.1267
Er 4.3418 2.4386 2.9158
Er 7.0207 2.4386 1.0589
Er 5.7599 0.0000 4.9512
Hg 1.3129 2.4386 2.0714
Hg 4.2495 2.4386 5.9917
Ir -0.1534 0.0000 6.0222
Ir 4.3059 2.4386 0.0000
Ir 5.7157 0.0000 2.0409
```